No. 1
Theoretical X-ray powder pattern
Compound: Pm3DyEr
Radiation: Cu Kα, 1.54184 Å
Structure: a PBE-relaxed structure
Peak positions follow from Bragg's law for the DFT cell and can differ from measured ones.

abc: 6.3219 5.7675 9.6685
angles: 90.00 109.07 90.00
Space group P2_1/m (No. 11)
Unique sites:
1 Pm 0.0332 0.2500 0.3981
2 Pm 0.1677 0.7500 0.0001
3 Pm 0.3653 0.7500 0.3980
4 Dy 0.2363 0.2500 0.8010
5 Er 0.4362 0.2500 0.1990

The 10 most intense peaks (2θ from 10° to 80°), by angle:
- 2θ = 28.21°, I = 237, (1 0 2)
- 2θ = 31.01°, I = 247, (0 2 0)
- 2θ = 32.28°, I = 1000, (2 1 -1)
- 2θ = 42.41°, I = 158, (1 2 2)
- 2θ = 49.94°, I = 197, (3 0 1)
- 2θ = 55.97°, I = 210, (2 3 -1)
- 2θ = 59.92°, I = 76, (0 2 5)
- 2θ = 59.97°, I = 151, (3 2 1)
- 2θ = 60.72°, I = 164, (2 1 4)
- 2θ = 78.27°, I = 79, (2 3 4)

---

No. 2
Theoretical X-ray powder pattern
Compound: Pm2DyEr4
Radiation: Cu Kα, 1.54184 Å
Structure: a PBE-relaxed structure
Peak positions follow from Bragg's law for the DFT cell and can differ from measured ones.

abc: 3.5037 8.5643 8.5691
angles: 61.92 88.00 80.88
Space group P-1 (No. 2)
Unique sites:
1 Pm 0.0834 0.2780 0.1315
2 Dy 0.5000 0.0000 0.0000
3 Er 0.1303 0.1522 0.5799
4 Er 0.4606 0.5503 0.2834

The 10 most intense peaks (2θ from 10° to 80°), by angle:
- 2θ = 29.84°, I = 332, (-1 1 1)
- 2θ = 30.20°, I = 153, (1 -1 0)
- 2θ = 31.19°, I = 583, (0 1 -2)
- 2θ = 32.18°, I = 1000, (0 3 1)
- 2θ = 32.36°, I = 393, (1 2 0)
- 2θ = 32.64°, I = 394, (1 1 2)
- 2θ = 43.50°, I = 124, (1 0 -3)
- 2θ = 43.91°, I = 118, (1 -2 1)
- 2θ = 48.95°, I = 154, (1 4 3)
- 2θ = 56.11°, I = 286, (0 1 5)

---

No. 3
Theoretical X-ray powder pattern
Compound: PmDy4Er7
Radiation: Cu Kα, 1.54184 Å
Structure: a PBE-relaxed structure
Peak positions follow from Bragg's law for the DFT cell and can differ from measured ones.

abc: 6.4835 6.7768 8.9536
angles: 84.99 76.73 81.24
Space group P-1 (No. 2)
Unique sites:
1 Pm 0.0000 0.0000 0.0000
2 Dy 0.1659 0.6129 0.3134
3 Dy 0.3596 0.1968 0.7113
4 Er 0.0000 0.5000 0.0000
5 Er 0.1900 0.1048 0.3867
6 Er 0.3174 0.7046 0.6433
7 Er 0.4833 0.2512 0.0495

The 10 most intense peaks (2θ from 10° to 80°), by angle:
- 2θ = 30.83°, I = 592, (0 0 3)
- 2θ = 31.36°, I = 652, (2 0 2)
- 2θ = 31.89°, I = 804, (1 2 -1)
- 2θ = 32.04°, I = 1000, (1 -2 0)
- 2θ = 32.42°, I = 551, (1 2 2)
- 2θ = 32.49°, I = 829, (2 0 -1)
- 2θ = 32.98°, I = 218, (0 1 3)
- 2θ = 43.79°, I = 222, (1 -2 3)
- 2θ = 46.84°, I = 213, (3 2 1)
- 2θ = 56.62°, I = 235, (0 4 -1)

---

No. 4
Theoretical X-ray powder pattern
Compound: Pm2DyEr12
Radiation: Cu Kα, 1.54184 Å
Structure: a PBE-relaxed structure
Peak positions follow from Bragg's law for the DFT cell and can differ from measured ones.

abc: 47.1883 5.5959 3.5687
angles: 90.00 90.01 90.00
Space group C2/m (No. 12)
Unique sites:
1 Pm 0.1395 0.0000 0.0003
2 Dy 0.0000 0.0000 0.0000
3 Er 0.0329 0.5000 0.5003
4 Er 0.0713 0.0000 0.5004
5 Er 0.0954 0.5000 0.0013
6 Er 0.1621 0.5000 0.5014
7 Er 0.2062 0.0000 0.4998
8 Er 0.2283 0.5000 0.0007

The 10 most intense peaks (2θ from 10° to 80°), by angle:
- 2θ = 29.25°, I = 166, (8 0 1)
- 2θ = 31.99°, I = 279, (0 2 0)
- 2θ = 32.62°, I = 1000, (15 1 0)
- 2θ = 34.36°, I = 95, (9 1 1)
- 2θ = 43.89°, I = 109, (8 2 1)
- 2θ = 49.59°, I = 111, (22 0 -1)
- 2θ = 57.41°, I = 201, (15 3 0)
- 2θ = 60.23°, I = 124, (22 2 -1)
- 2θ = 61.65°, I = 88, (0 2 2)
- 2θ = 62.06°, I = 138, (15 1 2)

---

Copy entry 4 word for word.
Theoretical X-ray powder pattern
Compound: Pm2DyEr12
Radiation: Cu Kα, 1.54184 Å
Structure: a PBE-relaxed structure
Peak positions follow from Bragg's law for the DFT cell and can differ from measured ones.

abc: 47.1883 5.5959 3.5687
angles: 90.00 90.01 90.00
Space group C2/m (No. 12)
Unique sites:
1 Pm 0.1395 0.0000 0.0003
2 Dy 0.0000 0.0000 0.0000
3 Er 0.0329 0.5000 0.5003
4 Er 0.0713 0.0000 0.5004
5 Er 0.0954 0.5000 0.0013
6 Er 0.1621 0.5000 0.5014
7 Er 0.2062 0.0000 0.4998
8 Er 0.2283 0.5000 0.0007

The 10 most intense peaks (2θ from 10° to 80°), by angle:
- 2θ = 29.25°, I = 166, (8 0 1)
- 2θ = 31.99°, I = 279, (0 2 0)
- 2θ = 32.62°, I = 1000, (15 1 0)
- 2θ = 34.36°, I = 95, (9 1 1)
- 2θ = 43.89°, I = 109, (8 2 1)
- 2θ = 49.59°, I = 111, (22 0 -1)
- 2θ = 57.41°, I = 201, (15 3 0)
- 2θ = 60.23°, I = 124, (22 2 -1)
- 2θ = 61.65°, I = 88, (0 2 2)
- 2θ = 62.06°, I = 138, (15 1 2)